Entry 1:
For Mg4Si3, a cell relaxed with PBE gives the computed powder diffraction line list in this record (Cu Kα X-rays).
Peak positions follow from Bragg's law for the DFT cell and can differ from measured ones.

```
data_Mg4Si3
_symmetry_space_group_name_H-M 'P 1'
_symmetry_Int_Tables_number 1
_symmetry_space_group_name_Hall 'P 1'
_cell_length_a 4.8324
_cell_length_b 7.7300
_cell_length_c 8.6685
_cell_angle_alpha 70.81
_cell_angle_beta 76.23
_cell_angle_gamma 74.68
loop_
_atom_site_label
_atom_site_fract_x
_atom_site_fract_y
_atom_site_fract_z
Mg1 0.0000 0.0000 0.0000
Mg2 0.0148 0.0050 0.3930
Mg3 0.0487 0.6985 0.7376
Mg4 0.2040 0.4812 0.1862
Mg5 0.3481 0.2103 0.5499
Mg6 0.3926 0.2516 0.9335
Mg7 0.6258 0.7550 0.2510
Mg8 0.6867 0.4826 0.5982
Si1 0.1715 0.6168 0.4406
Si2 0.5301 0.5975 0.8779
Si3 0.5424 0.1202 0.2518
Si4 0.5755 0.8781 0.9247
Si5 0.8183 0.3596 0.0753
Si6 0.8267 0.0968 0.6938
```

Peak list (10 most intense, 10 to 90 degrees two-theta, by angle)
d [Å]  2theta  intensity
3.154  28.30  68
2.709  33.07  66
2.381  37.78  49
2.367  38.02  77
2.330  38.65  100
2.315  38.89  88
2.170  41.61  99
2.157  41.88  50
2.107  42.93  90
2.039  44.43  69

Entry 2:
For Mg3Si4, a cell relaxed with PBE gives the computed powder diffraction line list in this record (Cu Kα X-rays).
Peak positions follow from Bragg's law for the DFT cell and can differ from measured ones.

```
data_Mg3Si4
_symmetry_space_group_name_H-M 'P 1'
_symmetry_Int_Tables_number 1
_symmetry_space_group_name_Hall 'P 1'
_cell_length_a 6.0802
_cell_length_b 6.8589
_cell_length_c 7.5737
_cell_angle_alpha 112.25
_cell_angle_beta 99.27
_cell_angle_gamma 107.90
loop_
_atom_site_label
_atom_site_fract_x
_atom_site_fract_y
_atom_site_fract_z
Mg1 0.0000 0.0000 0.0000
Mg2 0.0057 0.2066 0.7033
Mg3 0.3291 0.7101 0.0210
Mg4 0.4369 0.1112 0.4517
Mg5 0.5701 0.5892 0.3625
Mg6 0.7163 0.4639 0.9683
Si1 0.1113 0.5744 0.2720
Si2 0.1256 0.8410 0.5973
Si3 0.4869 0.5629 0.6946
Si4 0.4986 0.1516 0.0947
Si5 0.5589 0.9654 0.7702
Si6 0.8828 0.2690 0.3453
Si7 0.8892 0.5473 0.6800
Si8 0.9121 0.9003 0.3045
```

Peak list (10 most intense, 10 to 90 degrees two-theta, by angle)
d [Å]  2theta  intensity
2.746  32.61  41
2.624  34.17  97
2.551  35.18  100
2.433  36.94  59
2.355  38.22  38
2.312  38.95  34
2.218  40.69  42
2.155  41.93  67
1.940  46.82  34
1.870  48.68  32

Entry 3:
For Mg2Si3, a cell relaxed with PBE gives the computed powder diffraction line list in this record (Cu Kα X-rays).
Peak positions follow from Bragg's law for the DFT cell and can differ from measured ones.

```
data_Mg2Si3
_symmetry_space_group_name_H-M 'P 1'
_symmetry_Int_Tables_number 1
_symmetry_space_group_name_Hall 'P 1'
_cell_length_a 3.8406
_cell_length_b 5.2539
_cell_length_c 19.5585
_cell_angle_alpha 93.14
_cell_angle_beta 94.69
_cell_angle_gamma 110.97
loop_
_atom_site_label
_atom_site_fract_x
_atom_site_fract_y
_atom_site_fract_z
Mg1 0.0000 0.0000 0.0000
Mg2 0.0171 0.3136 0.7623
Mg3 0.1901 0.0259 0.3707
Mg4 0.2409 0.5697 0.9130
Mg5 0.4392 0.3729 0.5169
Mg6 0.4977 0.7526 0.2422
Mg7 0.6631 0.6927 0.6614
Mg8 0.7181 0.3014 0.1393
Si1 0.0051 0.8711 0.1388
Si2 0.1768 0.8062 0.5569
Si3 0.2119 0.1875 0.2408
Si4 0.2841 0.8679 0.7568
Si5 0.3579 0.6504 0.0697
Si6 0.3866 0.1362 0.6575
Si7 0.4883 0.6027 0.3885
Si8 0.5339 0.1469 0.8791
Si9 0.7056 0.4126 0.0014
Si10 0.7143 0.9452 0.4864
Si11 0.7999 0.8057 0.8317
Si12 0.8680 0.4259 0.3166
```

Peak list (10 most intense, 10 to 90 degrees two-theta, by angle)
d [Å]  2theta  intensity
2.498  35.96  38
2.479  36.24  64
2.465  36.45  34
2.425  37.07  40
2.317  38.87  41
2.276  39.60  49
2.235  40.35  48
2.222  40.61  56
2.217  40.70  38
1.920  47.34  100

Entry 4:
For Mg5Si6, a cell relaxed with PBE gives the computed powder diffraction line list in this record (Cu Kα X-rays).
Peak positions follow from Bragg's law for the DFT cell and can differ from measured ones.

```
data_Mg5Si6
_symmetry_space_group_name_H-M 'P 1'
_symmetry_Int_Tables_number 1
_symmetry_space_group_name_Hall 'P 1'
_cell_length_a 4.3258
_cell_length_b 6.7812
_cell_length_c 14.4325
_cell_angle_alpha 96.57
_cell_angle_beta 98.20
_cell_angle_gamma 90.52
loop_
_atom_site_label
_atom_site_fract_x
_atom_site_fract_y
_atom_site_fract_z
Mg1 0.0000 0.0000 0.0000
Mg2 0.0354 0.5401 0.0697
Mg3 0.2014 0.8080 0.4043
Mg4 0.3949 0.9093 0.7892
Mg5 0.4668 0.3060 0.9283
Mg6 0.6189 0.5837 0.2541
Mg7 0.6619 0.1015 0.3235
Mg8 0.7322 0.5117 0.4809
Mg9 0.7741 0.0009 0.5465
Mg10 0.9316 0.5853 0.8557
Si1 0.0945 0.2229 0.1971
Si2 0.1050 0.8642 0.2112
Si3 0.1556 0.4166 0.3470
Si4 0.2425 0.2029 0.4660
Si5 0.2941 0.3854 0.6201
Si6 0.2959 0.7375 0.5973
Si7 0.4796 0.7163 0.9596
Si8 0.5591 0.2427 0.1132
Si9 0.5615 0.8784 0.1210
Si10 0.8209 0.3101 0.6865
Si11 0.8313 0.6742 0.6784
Si12 0.9181 0.1641 0.8295
```

Peak list (10 most intense, 10 to 90 degrees two-theta, by angle)
d [Å]  2theta  intensity
2.631  34.07  33
2.508  35.80  67
2.492  36.04  31
2.472  36.34  26
2.311  38.97  56
2.222  40.61  35
2.209  40.85  35
2.178  41.45  24
2.163  41.77  100
2.127  42.51  29

Entry 5:
For Mg4Si3, a cell relaxed with PBE gives the computed powder diffraction line list in this record (Cu Kα X-rays).
Peak positions follow from Bragg's law for the DFT cell and can differ from measured ones.

```
data_Mg4Si3
_symmetry_space_group_name_H-M 'C 1 m 1'
_symmetry_Int_Tables_number 8
_symmetry_space_group_name_Hall 'C -2y'
_cell_length_a 8.2377
_cell_length_b 13.9217
_cell_length_c 5.1217
_cell_angle_alpha 90.00
_cell_angle_beta 112.05
_cell_angle_gamma 90.00
loop_
_atom_site_label
_atom_site_fract_x
_atom_site_fract_y
_atom_site_fract_z
Mg1 0.0000 0.0000 0.0000
Mg2 0.0061 0.5000 0.5313
Mg3 0.1001 0.3581 0.1171
Mg4 0.1089 0.1264 0.5053
Mg5 0.3281 0.3161 0.7762
Si1 0.2427 0.1493 0.0919
Si2 0.3279 0.5000 0.4243
Si3 0.3307 0.0000 0.9078
Si4 0.4739 0.1971 0.5336
```

Peak list (10 most intense, 10 to 90 degrees two-theta, by angle)
d [Å]  2theta  intensity
2.788  32.11  63
2.656  33.75  40
2.572  34.88  50
2.545  35.27  34
2.475  36.30  39
2.427  37.04  35
2.337  38.52  100
2.320  38.81  48
2.238  40.30  29
1.939  46.85  46

Entry 6:
For MgSi3, a cell relaxed with PBE gives the computed powder diffraction line list in this record (Cu Kα X-rays).
Peak positions follow from Bragg's law for the DFT cell and can differ from measured ones.

```
data_MgSi3
_symmetry_space_group_name_H-M 'P 63/m m c'
_symmetry_Int_Tables_number 194
_symmetry_space_group_name_Hall '-P 6c 2c'
_cell_length_a 5.6593
_cell_length_b 5.6593
_cell_length_c 4.7180
_cell_angle_alpha 90.00
_cell_angle_beta 90.00
_cell_angle_gamma 120.00
loop_
_atom_site_label
_atom_site_fract_x
_atom_site_fract_y
_atom_site_fract_z
Mg1 0.3333 0.6667 0.2500
Si1 0.1531 0.3062 0.7500
```

Peak list (10 most intense, 10 to 90 degrees two-theta, by angle)
d [Å]  2theta  intensity
4.901  18.10  6
2.451  36.67  24
2.359  38.15  30
2.175  41.53  100
1.700  53.95  15
1.415  66.03  15
1.324  71.25  20
1.213  78.90  18
1.186  81.09  12
1.179  81.63  3

Entry 7:
For Mg2Si3, a cell relaxed with PBE gives the computed powder diffraction line list in this record (Cu Kα X-rays).
Peak positions follow from Bragg's law for the DFT cell and can differ from measured ones.

```
data_Mg2Si3
_symmetry_space_group_name_H-M 'C 1 2/m 1'
_symmetry_Int_Tables_number 12
_symmetry_space_group_name_Hall '-C 2y'
_cell_length_a 11.5794
_cell_length_b 3.8621
_cell_length_c 8.4335
_cell_angle_alpha 90.00
_cell_angle_beta 108.32
_cell_angle_gamma 90.00
loop_
_atom_site_label
_atom_site_fract_x
_atom_site_fract_y
_atom_site_fract_z
Mg1 0.1245 0.0000 0.3989
Mg2 0.1423 0.0000 0.0076
Si1 0.0305 0.5000 0.1536
Si2 0.0831 0.5000 0.6415
Si3 0.2320 0.0000 0.7378
```

Peak list (10 most intense, 10 to 90 degrees two-theta, by angle)
d [Å]  2theta  intensity
2.658  33.72  100
2.565  34.98  65
2.492  36.05  80
2.367  38.02  60
2.312  38.96  36
2.269  39.73  73
2.105  42.96  39
1.992  45.53  37
1.985  45.71  27
1.931  47.06  63

Entry 8:
For Mg3Si4, a cell relaxed with PBE gives the computed powder diffraction line list in this record (Cu Kα X-rays).
Peak positions follow from Bragg's law for the DFT cell and can differ from measured ones.

```
data_Mg3Si4
_symmetry_space_group_name_H-M 'P 1'
_symmetry_Int_Tables_number 1
_symmetry_space_group_name_Hall 'P 1'
_cell_length_a 5.5855
_cell_length_b 7.2842
_cell_length_c 7.6998
_cell_angle_alpha 110.23
_cell_angle_beta 103.09
_cell_angle_gamma 101.71
loop_
_atom_site_label
_atom_site_fract_x
_atom_site_fract_y
_atom_site_fract_z
Mg1 0.0000 0.0000 0.0000
Mg2 0.0873 0.8152 0.3218
Mg3 0.2116 0.2932 0.7042
Mg4 0.3923 0.8370 0.7380
Mg5 0.5224 0.6057 0.2828
Mg6 0.8083 0.5458 0.6385
Si1 0.1644 0.4490 0.4227
Si2 0.1899 0.6557 0.9889
Si3 0.4187 0.2106 0.3310
Si4 0.5973 0.1145 0.5955
Si5 0.6254 0.6765 0.9807
Si6 0.7513 0.2627 0.1764
Si7 0.7809 0.3842 0.9241
Si8 0.8852 0.9187 0.6134
```

Peak list (10 most intense, 10 to 90 degrees two-theta, by angle)
d [Å]  2theta  intensity
3.962  22.44  60
2.717  32.96  76
2.698  33.21  81
2.675  33.50  43
2.387  37.68  73
2.363  38.08  43
2.322  38.79  85
2.280  39.52  100
2.262  39.84  91
2.200  41.03  64